Calculated powder X-ray diffraction pattern
Compound: BaGeSb2O8
Radiation: Cu Kα X-rays
Structure: the GGA-PBE geometry in Alexandria

Top 10 peaks for 2θ from 10° to 90°, low angle first:
- d 3.737, I = 79.4, hkl 1 0 -1
- d 3.302, I = 53.6, hkl 1 0 1
- d 2.778, I = 100.0, hkl 1 2 0
- d 2.480, I = 15.5, hkl 0 0 2
- d 2.468, I = 13.8, hkl 2 0 0
- d 1.917, I = 28.5, hkl 1 2 -2
- d 1.912, I = 25.6, hkl 2 2 -1
- d 1.789, I = 17.0, hkl 1 2 2
- d 1.785, I = 18.0, hkl 2 2 1
- d 1.483, I = 12.8, hkl 0 2 3

Atomic structure:
```
data_BaGeSb2O8
_chemical_formula_sum 'Ba1 Ge1 Sb2 O8'
_symmetry_space_group_name_H-M 'P 1'
_symmetry_Int_Tables_number 1
_cell_length_a 4.9747
_cell_length_b 6.7122
_cell_length_c 4.9988
_cell_angle_alpha 90.00
_cell_angle_beta 97.08
_cell_angle_gamma 90.00
loop_
_symmetry_equiv_pos_as_xyz
'x,y,z'
loop_
_atom_site_label
_atom_site_type_symbol
_atom_site_fract_x
_atom_site_fract_y
_atom_site_fract_z
Ba1 Ba 0.0000 0.0000 0.0000
Ge1 Ge 0.0000 0.5000 0.0000
Sb1 Sb 0.5000 0.2667 0.5000
Sb2 Sb 0.5000 0.7333 0.5000
O1 O 0.2084 0.3048 0.1937
O2 O 0.2084 0.6952 0.1937
O3 O 0.3026 0.5000 0.6829
O4 O 0.3309 0.0000 0.6492
O5 O 0.6691 0.0000 0.3508
O6 O 0.6974 0.5000 0.3171
O7 O 0.7916 0.3048 0.8063
O8 O 0.7916 0.6952 0.8063
```